# SrLa4Cr5O15
Computed PXRD pattern, Cu Kα (weighted mean of Kα1 and Kα2). Input: a PBE+U-relaxed structure.
No peak broadening, texture or thermal motion is included.

Atomic structure:
Cell: 16.620 5.552 6.804 Å, 90.00 105.65 90.00°
Space group Cm (No. 8)
Asymmetric unit:
Sr 0.000 0.000 0.000 (multiplicity 2)
La 0.100 0.500 0.407 (multiplicity 2)
La 0.204 0.000 0.788 (multiplicity 2)
La 0.302 0.500 0.204 (multiplicity 2)
La 0.403 0.000 0.582 (multiplicity 2)
Cr 0.002 0.000 0.500 (multiplicity 2)
Cr 0.101 0.500 0.899 (multiplicity 2)
Cr 0.202 0.000 0.295 (multiplicity 2)
Cr 0.300 0.500 0.699 (multiplicity 2)
Cr 0.402 0.000 0.098 (multiplicity 2)
O 0.005 0.500 0.000 (multiplicity 2)
O 0.048 0.261 0.697 (multiplicity 4)
O 0.104 0.000 0.408 (multiplicity 2)
O 0.159 0.258 0.088 (multiplicity 4)
O 0.191 0.500 0.773 (multiplicity 2)
O 0.249 0.250 0.498 (multiplicity 4)
O 0.310 0.000 0.229 (multiplicity 2)
O 0.340 0.248 0.907 (multiplicity 4)
O 0.397 0.500 0.588 (multiplicity 2)
O 0.454 0.243 0.305 (multiplicity 4)

Largest 12 diffraction maxima, sorted by position, 2θ = 10–90°:
hkl  2θ (°)  Rel. int.
4 0 -1  22.7  13.1
5 1 0  32.3  100.0
4 2 -1  39.8  20.1
2 2 2  46.2  22.6
8 0 -2  46.4  10.9
1 1 -4  57.4  6.1
7 1 2  57.5  22.1
10 0 0  57.6  9.5
0 4 0  67.5  15.8
7 3 2  76.7  10.5
13 1 -2  77.0  5.0
8 4 -2  85.8  4.8